Starting from the GGA-PBE geometry in OQMD, the XRD peak list of Y2Ag2GePb was simulated for Cu Kα.

Structure:
Unit cell a=11.591 b=4.742 c=11.604 alpha=90.00 beta=109.51 gamma=90.00
Space group Pm (No. 6)
Inequivalent atoms, fractional coordinates:
1 Y 0.000 0.000 0.000 (multiplicity 1)
2 Y 0.119 0.500 0.369 (multiplicity 1)
3 Y 0.239 0.000 0.738 (multiplicity 1)
4 Y 0.373 0.500 0.114 (multiplicity 1)
5 Y 0.507 0.000 0.492 (multiplicity 1)
6 Y 0.634 0.500 0.879 (multiplicity 1)
7 Y 0.754 0.000 0.249 (multiplicity 1)
8 Y 0.873 0.500 0.617 (multiplicity 1)
9 Ag 0.116 0.500 0.617 (multiplicity 1)
10 Ag 0.241 0.000 0.985 (multiplicity 1)
11 Ag 0.382 0.500 0.368 (multiplicity 1)
12 Ag 0.499 0.000 0.745 (multiplicity 1)
13 Ag 0.633 0.500 0.131 (multiplicity 1)
14 Ag 0.754 0.000 0.491 (multiplicity 1)
15 Ag 0.887 0.500 0.876 (multiplicity 1)
16 Ag 0.995 0.000 0.247 (multiplicity 1)
17 Ge 0.124 0.500 0.867 (multiplicity 1)
18 Ge 0.628 0.500 0.371 (multiplicity 1)
19 Ge 0.876 0.500 0.122 (multiplicity 1)
20 Ge 0.998 0.000 0.493 (multiplicity 1)
21 Pb 0.250 0.000 0.244 (multiplicity 1)
22 Pb 0.374 0.500 0.619 (multiplicity 1)
23 Pb 0.501 0.000 0.996 (multiplicity 1)
24 Pb 0.752 0.000 0.747 (multiplicity 1)

Top 12 peaks for 10° ≤ 2θ ≤ 90°, sorted by position:
3.867 Å, rel. 31
3.349 Å, rel. 15
2.368 Å, rel. 100
2.020 Å, rel. 16
1.934 Å, rel. 5
1.675 Å, rel. 17
1.537 Å, rel. 5
1.498 Å, rel. 5
1.368 Å, rel. 25
1.366 Å, rel. 8
1.185 Å, rel. 5
1.184 Å, rel. 5

Starting from the GGA-PBE geometry in OQMD, the XRD peak list of Sr3Ag2Ge4Pd2 was simulated for Cu Kα.

Structure:
Unit cell a=4.505 b=4.542 c=25.466 alpha=90.00 beta=90.00 gamma=90.00
Space group Immm (No. 71)
Inequivalent atoms, fractional coordinates:
1 Sr 0.000 0.000 0.000 (multiplicity 2)
2 Sr 0.000 0.500 0.149 (multiplicity 4)
3 Ag 0.000 0.500 0.401 (multiplicity 4)
4 Ge 0.000 0.000 0.451 (multiplicity 4)
5 Ge 0.000 0.500 0.297 (multiplicity 4)
6 Pd 0.000 0.000 0.250 (multiplicity 4)

Top 12 peaks for 10° ≤ 2θ ≤ 90°, sorted by position:
4.437 Å, rel. 13
2.858 Å, rel. 100
2.830 Å, rel. 37
2.401 Å, rel. 27
2.271 Å, rel. 34
2.253 Å, rel. 37
2.063 Å, rel. 15
1.992 Å, rel. 22
1.771 Å, rel. 20
1.643 Å, rel. 16
1.599 Å, rel. 22
1.425 Å, rel. 13

Starting from the GGA-PBE geometry in OQMD, the XRD peak list of Pm3Ag4Ge4 was simulated for Cu Kα.

Structure:
Unit cell a=4.431 b=7.188 c=14.790 alpha=90.00 beta=90.00 gamma=90.00
Space group Immm (No. 71)
Inequivalent atoms, fractional coordinates:
1 Pm 0.000 0.000 0.000 (multiplicity 2)
2 Pm 0.000 0.500 0.127 (multiplicity 4)
3 Ag 0.000 0.305 0.331 (multiplicity 8)
4 Ge 0.000 0.000 0.217 (multiplicity 4)
5 Ge 0.000 0.183 0.500 (multiplicity 4)

Top 12 peaks for 10° ≤ 2θ ≤ 90°, sorted by position:
2.741 Å, rel. 100
2.640 Å, rel. 75
2.464 Å, rel. 24
2.429 Å, rel. 21
2.215 Å, rel. 35
2.155 Å, rel. 29
2.031 Å, rel. 14
2.027 Å, rel. 10
1.722 Å, rel. 11
1.648 Å, rel. 10
1.545 Å, rel. 20
1.282 Å, rel. 13

Starting from the GGA-PBE geometry in OQMD, the XRD peak list of PrSmAg2Ge2 was simulated for Cu Kα.

Structure:
Unit cell a=4.5644 b=4.5644 c=7.6379 alpha=90.00 beta=90.00 gamma=120.00
Space group P3m1 (No. 156)
Inequivalent atoms, fractional coordinates:
1 Pr 0.0000 0.0000 0.0000 (multiplicity 1)
2 Sm 0.0000 0.0000 0.5010 (multiplicity 1)
3 Ag 0.3333 0.6667 0.2369 (multiplicity 1)
4 Ag 0.6667 0.3333 0.7199 (multiplicity 1)
5 Ge 0.3333 0.6667 0.7838 (multiplicity 1)
6 Ge 0.6667 0.3333 0.2930 (multiplicity 1)

Top 12 peaks for 10° ≤ 2θ ≤ 90°, sorted by position:
3.953 Å, rel. 6
3.511 Å, rel. 7
2.747 Å, rel. 100
2.282 Å, rel. 60
2.140 Å, rel. 7
1.909 Å, rel. 8
1.755 Å, rel. 26
1.465 Å, rel. 22
1.391 Å, rel. 24
1.318 Å, rel. 10
1.212 Å, rel. 5
1.141 Å, rel. 6

Starting from the GGA-PBE geometry in OQMD, the XRD peak list of PrY2Ag4Ge4 was simulated for Cu Kα.

Structure:
Unit cell a=4.345 b=7.246 c=14.621 alpha=90.00 beta=90.00 gamma=90.00
Space group Immm (No. 71)
Inequivalent atoms, fractional coordinates:
1 Pr 0.000 0.000 0.000 (multiplicity 2)
2 Y 0.000 0.500 0.126 (multiplicity 4)
3 Ag 0.000 0.303 0.330 (multiplicity 8)
4 Ge 0.000 0.000 0.219 (multiplicity 4)
5 Ge 0.000 0.179 0.500 (multiplicity 4)

Top 12 peaks for 10° ≤ 2θ ≤ 90°, sorted by position:
3.244 Å, rel. 15
2.734 Å, rel. 100
2.712 Å, rel. 26
2.609 Å, rel. 86
2.437 Å, rel. 27
2.416 Å, rel. 24
2.172 Å, rel. 46
2.164 Å, rel. 40
2.028 Å, rel. 15
2.016 Å, rel. 25
1.533 Å, rel. 26
1.287 Å, rel. 16

Starting from the GGA-PBE geometry in OQMD, the XRD peak list of Rb2Ag2GeSe4 was simulated for Cu Kα.

Structure:
Unit cell a=6.718 b=14.412 c=23.052 alpha=90.00 beta=90.00 gamma=90.00
Space group Fddd (No. 70, origin choice 2)
Inequivalent atoms, fractional coordinates:
1 Rb 0.125 0.125 0.311 (multiplicity 16)
2 Ag 0.125 0.125 0.556 (multiplicity 16)
3 Ge 0.125 0.125 0.125 (multiplicity 8)
4 Se 0.072 0.273 0.435 (multiplicity 32)

Top 12 peaks for 10° ≤ 2θ ≤ 90°, sorted by position:
6.110 Å, rel. 40
3.483 Å, rel. 66
3.044 Å, rel. 43
2.981 Å, rel. 100
2.897 Å, rel. 15
2.881 Å, rel. 45
2.403 Å, rel. 18
2.297 Å, rel. 20
1.954 Å, rel. 31
1.847 Å, rel. 15
1.837 Å, rel. 15
1.617 Å, rel. 20